Nd2InCoO6: calculated powder XRD pattern (λ = 1.5418 Å (Cu Kα)), based on a DFT-relaxed cell (PBE+U, Alexandria).

Atomic structure:
```
Nd2InCoO6
1.0
5.5179 0.0000 0.0000
0.0000 5.7506 0.0000
-5.4210 0.0000 7.9131
Nd In Co O
4 2 2 12
Cartesian
-0.0729 0.3444 1.9765
-2.7834 2.5309 5.9331
2.8803 3.2197 1.9800
0.1698 5.4062 5.9366
2.7589 0.0000 0.0000
0.0484 2.8753 3.9566
-2.7105 0.0000 3.9566
0.0000 2.8753 0.0000
-4.4011 1.2387 7.4650
-1.6906 1.6366 3.5084
-3.8449 3.9707 7.5061
-1.1344 4.6552 3.5496
-2.1227 0.1946 5.8204
0.5878 2.6807 1.8638
-0.4910 3.0699 6.0493
2.2195 5.5560 2.0927
1.2312 1.0954 4.3635
3.9417 1.7799 0.4070
1.7875 4.1140 4.4047
4.4980 4.5119 0.4481
```

Largest 10 diffraction maxima, by angle, 2θ from 10° to 90°:
two_theta	d (Å)	intensity
31.10	2.875	40.9
31.74	2.819	100.0
32.03	2.794	98.4
32.45	2.759	47.5
45.57	1.991	39.4
45.87	1.978	26.9
51.80	1.765	23.5
56.46	1.630	18.0
57.27	1.609	20.8
57.81	1.595	24.6